# Ni2S3O12
Calculated powder XRD pattern, Cu Kα (weighted mean of Kα1 and Kα2). Input: a DFT-relaxed cell (PBE+U, Alexandria).
Kinematic intensities with the Lorentz-polarization factor, no thermal factor.

Structure:
Cell: 8.9018 8.9018 8.9018 Å, 55.63 55.63 55.63°
Sites, in units of the cell vectors:
Ni 0.1433 0.1433 0.1433
Ni 0.3480 0.3480 0.3480
Ni 0.6520 0.6520 0.6520
Ni 0.8567 0.8567 0.8567
S 0.0434 0.7460 0.4596
S 0.2540 0.5404 0.9566
S 0.4596 0.0434 0.7460
S 0.5404 0.9566 0.2540
S 0.7460 0.4596 0.0434
S 0.9566 0.2540 0.5404
O 0.0174 0.7983 0.6051
O 0.1279 0.7403 0.8704
O 0.1296 0.8721 0.2597
O 0.1488 0.2173 0.5279
O 0.1723 0.5384 0.4936
O 0.2017 0.3949 0.9826
O 0.2173 0.5279 0.1488
O 0.2597 0.1296 0.8721
O 0.3949 0.9826 0.2017
O 0.4616 0.5064 0.8277
O 0.4721 0.8512 0.7827
O 0.4936 0.1723 0.5384
O 0.5064 0.8277 0.4616
O 0.5279 0.1488 0.2173
O 0.5384 0.4936 0.1723
O 0.6051 0.0174 0.7983
O 0.7403 0.8704 0.1279
O 0.7827 0.4721 0.8512
O 0.7983 0.6051 0.0174
O 0.8277 0.4616 0.5064
O 0.8512 0.7827 0.4721
O 0.8704 0.1279 0.7403
O 0.8721 0.2597 0.1296
O 0.9826 0.2017 0.3949

Largest 10 diffraction maxima, by angle, 2θ = 5–70°:
2θ/deg  I_rel
14.62  56
20.04  60
21.39  19
24.50  100
29.48  46
32.16  60
36.71  15
37.51  21
50.22  15
52.82  21